Entry 1:
Structure and theoretical X-ray diffraction stick pattern of Pm7Sn3 (a DFT-relaxed cell (PBE, Alexandria); Cu Kα (weighted mean of Kα1 and Kα2)).
Kinematic intensities with the Lorentz-polarization factor, no thermal factor.

Crystal structure
```
Pm7Sn3
1.0
10.813 0.000 0.000
-5.407 9.364 0.000
0.000 0.000 6.333
Pm Sn
14 6
Direct
0.052 0.526 0.000 Pm
0.125 0.249 0.774 Pm
0.125 0.875 0.774 Pm
0.249 0.125 0.274 Pm
0.333 0.667 0.597 Pm
0.474 0.526 0.000 Pm
0.474 0.948 0.000 Pm
0.526 0.052 0.500 Pm
0.526 0.474 0.500 Pm
0.667 0.333 0.097 Pm
0.751 0.875 0.774 Pm
0.875 0.125 0.274 Pm
0.875 0.751 0.274 Pm
0.948 0.474 0.500 Pm
0.194 0.388 0.296 Sn
0.194 0.806 0.296 Sn
0.388 0.194 0.796 Sn
0.612 0.806 0.296 Sn
0.806 0.194 0.796 Sn
0.806 0.612 0.796 Sn
```

Peak list (10 most intense, 5° ≤ 2θ ≤ 70°, low angle first)
d (Å)  2θ/deg  I/Imax
3.121  28.60  22
3.090  28.90  74
3.000  29.79  39
2.800  31.97  100
2.703  33.14  71
2.623  34.18  77
1.945  46.71  25
1.796  50.84  20
1.506  61.59  24
1.459  63.79  27

Entry 2:
Structure and theoretical X-ray diffraction stick pattern of Nd2Ho9Tm3 (a DFT-relaxed cell (PBE, Alexandria); Cu Kα (weighted mean of Kα1 and Kα2)).
Kinematic intensities with the Lorentz-polarization factor, no thermal factor.

Crystal structure
```
Nd2Ho9Tm3
1.0
6.117 0.000 0.000
-3.043 8.870 0.000
-2.079 -3.571 8.500
Nd Ho Tm
2 9 3
Direct
0.000 0.000 0.000 Nd
0.197 0.397 0.000 Nd
0.041 0.539 0.337 Ho
0.152 0.870 0.661 Ho
0.248 0.937 0.334 Ho
0.359 0.271 0.664 Ho
0.552 0.671 0.664 Ho
0.603 0.211 0.000 Ho
0.649 0.741 0.335 Ho
0.846 0.140 0.337 Ho
0.959 0.475 0.667 Ho
0.444 0.339 0.336 Tm
0.757 0.070 0.662 Tm
0.794 0.599 0.999 Tm
```

Peak list (10 most intense, 5° ≤ 2θ ≤ 70°, low angle first)
d (Å)  2θ/deg  I/Imax
3.046  29.32  21
2.985  29.93  20
2.833  31.58  53
2.763  32.41  100
2.636  34.01  32
2.628  34.12  31
2.618  34.25  30
2.346  38.38  17
1.768  51.71  27
1.501  61.80  16

Entry 3:
Structure and theoretical X-ray diffraction stick pattern of NdCu4Pd6 (a DFT-relaxed cell (PBE, Alexandria); Cu Kα (weighted mean of Kα1 and Kα2)).
Kinematic intensities with the Lorentz-polarization factor, no thermal factor.

Crystal structure
```
NdCu4Pd6
1.0
-3.154 3.154 4.699
3.154 -3.154 4.699
3.154 3.154 -4.699
Nd Cu Pd
1 4 6
Direct
0.000 0.000 0.000 Nd
0.269 0.563 0.000 Cu
0.437 0.437 0.707 Cu
0.563 0.269 0.000 Cu
0.731 0.731 0.293 Cu
0.000 0.500 0.500 Pd
0.088 0.088 0.559 Pd
0.471 0.912 0.000 Pd
0.500 0.000 0.500 Pd
0.529 0.529 0.441 Pd
0.912 0.471 0.000 Pd
```

Peak list (10 most intense, 5° ≤ 2θ ≤ 70°, low angle first)
d (Å)  2θ/deg  I/Imax
2.806  31.89  15
2.702  33.15  25
2.619  34.24  100
2.230  40.44  46
2.096  43.15  23
2.079  43.53  44
2.052  44.13  25
1.836  49.65  20
1.618  56.92  13
1.351  69.59  24

Entry 4:
Structure and theoretical X-ray diffraction stick pattern of Nd2HoAs3 (a DFT-relaxed cell (PBE, Alexandria); Cu Kα (weighted mean of Kα1 and Kα2)).
Kinematic intensities with the Lorentz-polarization factor, no thermal factor.

Crystal structure
```
Nd2HoAs3
1.0
-2.110 2.110 8.942
2.110 -2.110 8.942
2.110 2.110 -8.942
Nd Ho As
2 1 3
Direct
0.166 0.166 0.000 Nd
0.834 0.834 0.000 Nd
0.500 0.500 0.000 Ho
0.000 0.000 0.000 As
0.336 0.336 0.000 As
0.664 0.664 0.000 As
```

Peak list (8 most intense, 5° ≤ 2θ ≤ 70°, low angle first)
d (Å)  2θ/deg  I/Imax
8.942  9.89  1
3.444  25.87  20
2.983  29.95  100
2.109  42.88  75
1.799  50.75  10
1.722  53.18  26
1.491  62.25  12
1.369  68.56  4

Entry 5:
Structure and theoretical X-ray diffraction stick pattern of K3CoCl8 (a DFT-relaxed cell (PBE, Alexandria); Cu Kα (weighted mean of Kα1 and Kα2)).
Kinematic intensities with the Lorentz-polarization factor, no thermal factor.

Crystal structure
```
K3CoCl8
1.0
-3.863 3.863 5.579
3.863 -3.863 5.579
3.863 3.863 -5.579
K Co Cl
3 1 8
Direct
0.000 0.000 0.000 K
0.250 0.750 0.500 K
0.750 0.250 0.500 K
0.500 0.500 0.000 Co
0.159 0.159 0.564 Cl
0.159 0.596 0.000 Cl
0.404 0.404 0.564 Cl
0.404 0.841 0.000 Cl
0.596 0.159 0.000 Cl
0.596 0.596 0.436 Cl
0.841 0.404 0.000 Cl
0.841 0.841 0.436 Cl
```

Peak list (10 most intense, 5° ≤ 2θ ≤ 70°, low angle first)
d (Å)  2θ/deg  I/Imax
6.352  13.94  31
3.903  22.78  83
3.863  23.02  9
2.732  32.78  83
2.262  39.86  100
2.238  40.30  33
2.104  42.98  13
1.932  47.04  21
1.480  62.80  8
1.469  63.32  29

Entry 6:
Structure and theoretical X-ray diffraction stick pattern of AgSe6Br12 (a DFT-relaxed cell (PBE, Alexandria); Cu Kα (weighted mean of Kα1 and Kα2)).
Kinematic intensities with the Lorentz-polarization factor, no thermal factor.

Crystal structure
```
AgSe6Br12
1.0
8.879 0.000 0.000
-4.326 7.756 0.000
-1.874 -2.189 10.989
Ag Se Br
1 6 12
Direct
0.000 0.000 0.000 Ag
0.063 0.505 0.739 Se
0.139 0.375 0.427 Se
0.271 0.480 0.640 Se
0.729 0.520 0.360 Se
0.861 0.625 0.573 Se
0.937 0.495 0.261 Se
0.066 0.801 0.846 Br
0.190 0.917 0.556 Br
0.212 0.478 0.924 Br
0.225 0.987 0.349 Br
0.294 0.080 0.143 Br
0.391 0.604 0.364 Br
0.609 0.396 0.636 Br
0.706 0.920 0.857 Br
0.775 0.013 0.651 Br
0.788 0.522 0.076 Br
0.810 0.083 0.444 Br
0.934 0.199 0.154 Br
```

Peak list (10 most intense, 5° ≤ 2θ ≤ 70°, low angle first)
d (Å)  2θ/deg  I/Imax
10.989  8.05  26
7.531  11.75  89
6.919  12.79  38
4.564  19.45  27
4.447  19.97  32
3.825  23.26  100
3.803  23.39  64
3.740  23.79  35
2.942  30.38  48
2.523  35.59  34

Entry 7:
Structure and theoretical X-ray diffraction stick pattern of Nd3Er5Sc (a DFT-relaxed cell (PBE, Alexandria); Cu Kα (weighted mean of Kα1 and Kα2)).
Kinematic intensities with the Lorentz-polarization factor, no thermal factor.

Crystal structure
```
Nd3Er5Sc
1.0
-4.318 4.318 7.656
4.318 -4.318 7.656
4.318 4.318 -7.656
Nd Er Sc
6 10 2
Direct
0.119 0.619 0.737 Nd
0.250 0.250 0.000 Nd
0.381 0.119 0.500 Nd
0.619 0.881 0.500 Nd
0.750 0.750 0.000 Nd
0.881 0.381 0.263 Nd
0.000 0.000 0.000 Er
0.066 0.153 0.500 Er
0.153 0.653 0.087 Er
0.347 0.434 0.500 Er
0.434 0.934 0.087 Er
0.500 0.500 0.000 Er
0.566 0.066 0.913 Er
0.653 0.566 0.500 Er
0.847 0.347 0.913 Er
0.934 0.847 0.500 Er
0.250 0.750 0.500 Sc
0.750 0.250 0.500 Sc
```

Peak list (10 most intense, 5° ≤ 2θ ≤ 70°, low angle first)
d (Å)  2θ/deg  I/Imax
3.080  28.99  71
3.053  29.25  51
2.864  31.23  100
2.731  32.80  30
2.400  37.48  13
2.366  38.03  20
2.076  43.60  22
1.938  46.89  18
1.724  53.12  18
1.549  59.70  14

Entry 8:
Structure and theoretical X-ray diffraction stick pattern of TbSi6 (a DFT-relaxed cell (PBE, Alexandria); Cu Kα (weighted mean of Kα1 and Kα2)).
Kinematic intensities with the Lorentz-polarization factor, no thermal factor.

Crystal structure
```
TbSi6
1.0
-3.322 3.322 3.322
3.322 -3.322 3.322
3.322 3.322 -3.322
Tb Si
1 6
Direct
0.000 0.000 0.000 Tb
0.250 0.500 0.750 Si
0.250 0.750 0.500 Si
0.500 0.250 0.750 Si
0.500 0.750 0.250 Si
0.750 0.250 0.500 Si
0.750 0.500 0.250 Si
```

Peak list (10 most intense, 5° ≤ 2θ ≤ 70°, low angle first)
d (Å)  2θ/deg  I/Imax
4.698  18.89  39
3.322  26.84  43
2.713  33.02  100
2.349  38.32  7
2.101  43.05  11
1.776  51.46  56
1.661  55.30  13
1.566  58.98  6
1.486  62.51  16
1.417  65.94  13

Entry 9:
Structure and theoretical X-ray diffraction stick pattern of MnAgHPt2 (a DFT-relaxed cell (PBE, Alexandria); Cu Kα (weighted mean of Kα1 and Kα2)).
Kinematic intensities with the Lorentz-polarization factor, no thermal factor.

Crystal structure
```
MnAgHPt2
1.0
4.030 0.000 0.000
0.000 4.030 0.000
0.000 0.000 4.110
Mn Ag H Pt
1 1 1 2
Direct
0.000 0.000 0.000 Mn
0.500 0.500 0.000 Ag
0.500 0.500 0.500 H
0.000 0.500 0.500 Pt
0.500 0.000 0.500 Pt
```

Peak list (10 most intense, 5° ≤ 2θ ≤ 70°, low angle first)
d (Å)  2θ/deg  I/Imax
4.110  21.62  16
2.850  31.39  13
2.342  38.44  100
2.055  44.06  17
2.015  44.99  32
1.809  50.44  8
1.667  55.10  6
1.439  64.80  21
1.425  65.51  10
1.346  69.87  3

Entry 10:
Structure and theoretical X-ray diffraction stick pattern of NdSe3O12 (a DFT-relaxed cell (PBE, Alexandria); Cu Kα (weighted mean of Kα1 and Kα2)).
Kinematic intensities with the Lorentz-polarization factor, no thermal factor.

Crystal structure
```
NdSe3O12
1.0
9.777 0.000 0.000
-4.889 8.467 0.000
0.000 0.000 6.375
Nd Se O
2 6 24
Direct
0.333 0.667 0.250 Nd
0.667 0.333 0.750 Nd
0.094 0.393 0.750 Se
0.298 0.906 0.750 Se
0.393 0.298 0.250 Se
0.607 0.702 0.750 Se
0.702 0.094 0.250 Se
0.906 0.607 0.250 Se
0.024 0.198 0.750 O
0.045 0.556 0.250 O
0.174 0.976 0.750 O
0.198 0.174 0.250 O
0.211 0.468 0.539 O
0.211 0.468 0.961 O
0.257 0.789 0.539 O
0.257 0.789 0.961 O
0.444 0.488 0.250 O
0.468 0.257 0.039 O
0.468 0.257 0.461 O
0.488 0.045 0.750 O
0.512 0.955 0.250 O
0.532 0.743 0.539 O
0.532 0.743 0.961 O
0.556 0.512 0.750 O
0.743 0.211 0.039 O
0.743 0.211 0.461 O
0.789 0.532 0.039 O
0.789 0.532 0.461 O
0.802 0.826 0.750 O
0.826 0.024 0.250 O
0.955 0.444 0.750 O
0.976 0.802 0.250 O
```

Peak list (10 most intense, 5° ≤ 2θ ≤ 70°, low angle first)
d (Å)  2θ/deg  I/Imax
8.467  10.45  70
3.879  22.92  80
3.527  25.25  100
3.200  27.88  32
3.188  27.99  33
2.860  31.27  40
2.258  39.92  20
2.113  42.79  23
1.858  49.02  35
1.434  65.05  16

Entry 11:
Structure and theoretical X-ray diffraction stick pattern of NaLiHo2F8 (a DFT-relaxed cell (PBE, Alexandria); Cu Kα (weighted mean of Kα1 and Kα2)).
Kinematic intensities with the Lorentz-polarization factor, no thermal factor.

Crystal structure
```
NaLiHo2F8
1.0
5.258 -4.167 0.000
5.258 4.167 0.000
0.000 0.000 7.081
Na Li Ho F
2 2 4 16
Direct
0.159 0.841 0.750 Na
0.841 0.159 0.250 Na
0.500 0.500 0.000 Li
0.500 0.500 0.500 Li
0.049 0.577 0.250 Ho
0.423 0.951 0.250 Ho
0.577 0.049 0.750 Ho
0.951 0.423 0.750 Ho
0.109 0.891 0.250 F
0.160 0.565 0.550 F
0.160 0.565 0.950 F
0.193 0.247 0.250 F
0.247 0.193 0.750 F
0.412 0.588 0.250 F
0.435 0.840 0.550 F
0.435 0.840 0.950 F
0.565 0.160 0.050 F
0.565 0.160 0.450 F
0.588 0.412 0.750 F
0.753 0.807 0.250 F
0.807 0.753 0.750 F
0.840 0.435 0.050 F
0.840 0.435 0.450 F
0.891 0.109 0.750 F
```

Peak list (10 most intense, 5° ≤ 2θ ≤ 70°, low angle first)
d (Å)  2θ/deg  I/Imax
5.258  16.86  48
4.801  18.48  44
4.167  21.32  75
3.541  25.15  56
3.266  27.31  31
2.939  30.41  100
2.698  33.20  23
2.082  43.48  52
1.960  46.33  31
1.906  47.71  37

Entry 12:
Structure and theoretical X-ray diffraction stick pattern of Ca5Ge2N6 (a DFT-relaxed cell (PBE, Alexandria); Cu Kα (weighted mean of Kα1 and Kα2)).
Kinematic intensities with the Lorentz-polarization factor, no thermal factor.

Crystal structure
```
Ca5Ge2N6
1.0
5.142 -3.015 0.000
5.142 3.015 0.000
-2.050 0.000 12.953
Ca Ge N
10 4 12
Direct
0.121 0.879 0.750 Ca
0.171 0.674 0.993 Ca
0.259 0.439 0.285 Ca
0.326 0.829 0.507 Ca
0.439 0.259 0.785 Ca
0.561 0.741 0.215 Ca
0.674 0.171 0.493 Ca
0.741 0.561 0.715 Ca
0.829 0.326 0.007 Ca
0.879 0.121 0.250 Ca
0.153 0.409 0.581 Ge
0.409 0.153 0.081 Ge
0.591 0.847 0.919 Ge
0.847 0.591 0.419 Ge
0.125 0.182 0.657 N
0.182 0.125 0.157 N
0.185 0.276 0.438 N
0.276 0.185 0.938 N
0.407 0.495 0.630 N
0.495 0.407 0.130 N
0.505 0.593 0.870 N
0.593 0.505 0.370 N
0.724 0.815 0.062 N
0.815 0.724 0.562 N
0.818 0.875 0.843 N
0.875 0.818 0.343 N
```

Peak list (10 most intense, 5° ≤ 2θ ≤ 70°, low angle first)
d (Å)  2θ/deg  I/Imax
5.078  17.46  40
4.952  17.91  81
2.797  32.00  100
2.608  34.38  93
2.555  35.12  51
2.503  35.87  42
2.472  36.34  100
2.109  42.89  45
1.704  53.79  47
1.445  64.47  42